(1)
This entry pairs a crystal structure of CeTm4S7 with its computed PXRD pattern. Radiation: λ = 1.5418 Å (Cu Kα). Structure: a PBE-relaxed structure.
Peak positions follow from Bragg's law for the DFT cell and can differ from measured ones.

The 8 most intense peaks (2θ from 10° to 80°), by angle:
2θ 23.84, intensity 100
2θ 24.50, intensity 82
2θ 26.45, intensity 34
2θ 27.78, intensity 44
2θ 31.70, intensity 38
2θ 33.35, intensity 50
2θ 34.37, intensity 44
2θ 47.55, intensity 36

Structure:
```
data_CeTm4S7
_chemical_formula_sum 'Ce1 Tm4 S7'
_space_group_name_H-M_alt 'P 1'
_space_group_IT_number 1
_cell_length_a 6.6964
_cell_length_b 6.6964
_cell_length_c 11.5984
_cell_angle_alpha 103.83
_cell_angle_beta 103.83
_cell_angle_gamma 32.75
loop_
_space_group_symop_operation_xyz
'x,y,z'
loop_
_atom_site_label
_atom_site_type_symbol
_atom_site_fract_x
_atom_site_fract_y
_atom_site_fract_z
_atom_site_occupancy
Ce1 Ce 0.0000 0.0000 0.0000 1
Tm1 Tm 0.1867 0.1867 0.7632 1
Tm2 Tm 0.5871 0.5871 0.3941 1
Tm3 Tm 0.7741 0.7741 0.1629 1
Tm4 Tm 0.8867 0.8867 0.5767 1
S1 S 0.1505 0.1505 0.2347 1
S2 S 0.2283 0.2283 0.5291 1
S3 S 0.3842 0.3842 0.0886 1
S4 S 0.5441 0.5441 0.6293 1
S5 S 0.6382 0.6382 0.9300 1
S6 S 0.8414 0.8414 0.7872 1
S7 S 0.9312 0.9312 0.3658 1
```

(2)
This entry pairs a crystal structure of CeTmS4 with its computed PXRD pattern. Radiation: λ = 1.5418 Å (Cu Kα). Structure: a PBE-relaxed structure.
Peak positions follow from Bragg's law for the DFT cell and can differ from measured ones.

The 8 most intense peaks (2θ from 10° to 80°), by angle:
2θ 15.36, intensity 58
2θ 15.79, intensity 81
2θ 23.02, intensity 59
2θ 24.98, intensity 56
2θ 26.91, intensity 83
2θ 33.65, intensity 61
2θ 36.67, intensity 78
2θ 39.60, intensity 100

Structure:
```
data_CeTmS4
_chemical_formula_sum 'Ce2 Tm2 S8'
_space_group_name_H-M_alt 'P 1'
_space_group_IT_number 1
_cell_length_a 7.2279
_cell_length_b 7.2279
_cell_length_c 6.8075
_cell_angle_alpha 113.11
_cell_angle_beta 113.11
_cell_angle_gamma 101.85
loop_
_space_group_symop_operation_xyz
'x,y,z'
loop_
_atom_site_label
_atom_site_type_symbol
_atom_site_fract_x
_atom_site_fract_y
_atom_site_fract_z
_atom_site_occupancy
Ce1 Ce 0.1299 0.8701 0.7500 1
Ce2 Ce 0.8701 0.1299 0.2500 1
Tm1 Tm 0.4864 0.5136 0.2500 1
Tm2 Tm 0.5136 0.4864 0.7500 1
S1 S 0.1454 0.2707 0.7565 1
S2 S 0.1810 0.5362 0.3955 1
S3 S 0.2707 0.1454 0.2565 1
S4 S 0.4638 0.8190 0.1045 1
S5 S 0.5362 0.1810 0.8955 1
S6 S 0.7293 0.8546 0.7435 1
S7 S 0.8190 0.4638 0.6045 1
S8 S 0.8546 0.7293 0.2435 1
```

> Which formula does entry 1 have?

CeTm4S7